(1)
Starting from a cell relaxed with GGA-PBE, the PXRD pattern of Er2CuNi was simulated for Cu Kα, 1.54184 Å.

Structural model:
Lattice parameters (Å, degrees): 4.3474 3.6783 10.0822 90.00 90.00 90.00
Space group Amm2 (No. 38)
Symmetry-distinct sites (fractional):
Er1 0.0000 0.0000 0.0000
Er2 0.5000 0.0000 0.2801
Cu1 0.5000 0.0000 0.5697
Ni1 0.0000 0.0000 0.7134

Top 10 peaks for 2θ from 10° to 90°, low angle first:
Position (°2θ)	Rel. int.	index
27.08	40.5	1 0 2
33.12	100.0	1 1 1
35.62	23.9	0 0 4
36.20	40.6	0 1 3
41.41	17.5	1 0 4
41.55	29.5	2 0 0
41.93	44.7	1 1 3
49.56	20.4	0 2 0
56.27	22.8	2 1 3
66.57	22.4	2 2 0


(2)
Starting from a cell relaxed with GGA-PBE, the PXRD pattern of Er2CuO4 was simulated for Cu Kα, 1.54184 Å.

Structural model:
Lattice parameters (Å, degrees): 11.7567 5.4708 5.4670 90.00 90.00 90.00
Space group Cmce (No. 64)
Symmetry-distinct sites (fractional):
Er1 0.1550 0.0000 0.0000
Cu1 0.0000 0.0000 0.5000
O1 0.0000 0.1975 0.1982
O2 0.2500 0.2403 0.7500

Top 10 peaks for 2θ from 10° to 90°, low angle first:
Position (°2θ)	Rel. int.	index
24.23	19.9	1 1 1
32.53	100.0	3 1 1
32.75	37.4	0 2 0
45.30	13.7	4 0 2
46.34	8.4	6 0 0
46.99	23.9	0 2 2
57.90	17.7	6 2 0
58.32	39.5	3 3 1
68.13	10.0	6 2 2
78.04	7.4	3 3 3


(3)
Starting from a cell relaxed with GGA-PBE, the PXRD pattern of ErCu2O4 was simulated for Cu Kα, 1.54184 Å.

Structural model:
Lattice parameters (Å, degrees): 5.6565 5.6565 9.5993 90.00 90.00 90.00
Space group I4_1/a (No. 88, origin choice 2)
Symmetry-distinct sites (fractional):
Er1 0.0000 0.2500 0.1250
Cu1 0.0000 0.0000 0.5000
O1 0.1489 0.0449 0.3223

Top 10 peaks for 2θ from 10° to 90°, low angle first:
Position (°2θ)	Rel. int.	index
18.20	16.4	1 0 1
29.06	60.1	1 1 2
32.14	51.6	1 0 3
36.74	100.0	2 1 1
36.89	21.4	2 0 2
50.18	22.6	1 0 5
54.77	28.0	1 3 2
56.66	17.3	3 0 3
59.72	21.0	3 2 1
60.24	28.7	2 2 4


(4)
Starting from a cell relaxed with GGA-PBE, the PXRD pattern of Sr2ErCu3Pb2O8 was simulated for Cu Kα, 1.54184 Å.

Structural model:
Lattice parameters (Å, degrees): 3.8251 3.8251 15.9816 90.00 90.00 90.00
Space group P4/mmm (No. 123)
Symmetry-distinct sites (fractional):
Sr1 0.0000 0.0000 0.2204
Er1 0.0000 0.0000 0.0000
Cu1 0.0000 0.0000 0.5000
Cu2 0.5000 0.5000 0.1027
Pb1 0.5000 0.5000 0.3873
O1 0.0000 0.0000 0.3834
O2 0.0000 0.5000 0.0897
O3 0.5000 0.5000 0.2504

Top 10 peaks for 2θ from 10° to 90°, low angle first:
Position (°2θ)	Rel. int.	index
11.07	13.0	0 0 2
23.92	29.3	1 0 1
32.40	100.0	1 0 4
33.12	67.1	1 1 0
41.30	17.2	1 0 6
43.85	21.5	1 1 5
47.54	30.8	2 0 0
57.34	15.2	1 1 8
58.71	37.7	2 1 4
79.19	10.9	3 1 0


(5)
Starting from a cell relaxed with GGA-PBE, the PXRD pattern of Er2Ti12Cu9O36 was simulated for Cu Kα, 1.54184 Å.

Structural model:
Lattice parameters (Å, degrees): 10.5097 10.5097 6.4508 90.00 90.00 120.00
Space group P-3 (No. 147)
Symmetry-distinct sites (fractional):
Er1 0.3333 0.6667 0.3286
Ti1 0.0000 0.0000 0.5000
Ti2 0.0000 0.5000 0.5000
Ti3 0.1584 0.8389 0.1629
Ti4 0.3333 0.6667 0.8406
Cu1 0.0000 0.5000 0.0000
Cu2 0.1683 0.8313 0.6614
O1 0.0166 0.8515 0.3304
O2 0.0445 0.7746 0.9110
O3 0.0769 0.6255 0.2505
O4 0.1189 0.4119 0.4130
O5 0.1768 0.6494 0.6456
O6 0.1930 0.5100 0.0183

Top 10 peaks for 2θ from 10° to 90°, low angle first:
Position (°2θ)	Rel. int.	index
16.85	8.7	1 0 1
23.93	7.7	2 0 1
34.10	100.0	0 2 2
38.27	9.1	3 -1 2
42.09	9.7	0 4 1
45.64	7.8	4 -3 2
48.99	27.5	4 0 2
60.95	12.2	2 0 4
61.07	36.1	6 -4 2
81.93	15.6	4 2 4


(6)
Starting from a cell relaxed with GGA-PBE, the PXRD pattern of ErCuP2 was simulated for Cu Kα, 1.54184 Å.

Structural model:
Lattice parameters (Å, degrees): 19.3305 3.6999 3.7324 90.00 90.00 90.00
Space group Pnma (No. 62)
Symmetry-distinct sites (fractional):
Er1 0.1173 0.2500 0.2265
Cu1 0.2500 0.2500 0.7289
P1 0.0013 0.2500 0.6974
P2 0.1706 0.7500 0.7278

Top 10 peaks for 2θ from 10° to 90°, low angle first:
Position (°2θ)	Rel. int.	index
18.36	11.9	4 0 0
25.58	38.0	2 0 1
25.78	38.7	2 1 0
36.86	22.5	6 0 1
37.00	20.7	6 1 0
37.21	21.2	8 0 0
39.02	100.0	4 1 1
48.80	13.7	0 0 2
49.26	15.0	0 2 0
68.31	12.4	12 1 1


(7)
Starting from a cell relaxed with GGA-PBE, the PXRD pattern of Er4Cu5P7 was simulated for Cu Kα, 1.54184 Å.

Structural model:
Lattice parameters (Å, degrees): 5.2591 5.2591 19.1062 90.00 90.00 90.00
Space group I-42m (No. 121)
Symmetry-distinct sites (fractional):
Er1 0.2401 0.2401 0.1153
Cu1 0.0000 0.0000 0.2497
Cu2 0.0000 0.0000 0.5000
Cu3 0.0000 0.5000 0.2500
P1 0.0000 0.0000 0.0000
P2 0.0000 0.5000 0.0000
P3 0.2453 0.2453 0.3299

Top 10 peaks for 2θ from 10° to 90°, low angle first:
Position (°2θ)	Rel. int.	index
25.71	70.9	1 1 2
37.17	36.5	1 1 6
37.66	19.6	0 0 8
39.10	100.0	2 0 4
48.99	29.7	2 2 0
53.95	13.3	1 1 10
56.14	16.7	3 1 2
63.06	15.3	3 1 6
63.40	16.2	2 2 8
84.93	19.9	4 2 4


(8)
Starting from a cell relaxed with GGA-PBE, the PXRD pattern of Er5CuPb3 was simulated for Cu Kα, 1.54184 Å.

Structural model:
Lattice parameters (Å, degrees): 9.1032 9.1032 6.6455 90.00 90.00 120.00
Space group P6_3/mcm (No. 193)
Symmetry-distinct sites (fractional):
Er1 0.0000 0.2526 0.2500
Er2 0.3333 0.6667 0.0000
Cu1 0.0000 0.0000 0.0000
Pb1 0.0000 0.3934 0.7500

Top 10 peaks for 2θ from 10° to 90°, low angle first:
Position (°2θ)	Rel. int.	index
26.83	20.4	0 0 2
29.99	14.7	2 1 0
32.94	98.5	2 1 1
33.39	100.0	1 1 2
34.12	61.0	3 0 0
43.58	23.5	3 1 1
48.48	21.2	2 2 2
51.40	28.6	2 1 3
65.53	14.8	5 0 2
66.59	17.8	3 0 4